This entry pairs a crystal structure of Li4Ni7O2F14 with its calculated powder diffraction line list. Radiation: Cu Kα, 1.54184 Å. Structure: a crystal structure in Alexandria, relaxed with GGA+U.

Top 8 peaks for 2θ from 5° to 70°, most intense first:
d 4.816, intensity 100
d 2.133, intensity 91
d 2.590, intensity 69
d 4.924, intensity 65
d 2.115, intensity 45
d 1.523, intensity 29
d 4.991, intensity 29
d 1.482, intensity 27

Structural model:
abc: 5.9312 5.9312 10.5717
angles: 106.44 106.44 61.39
Sites, in units of the cell vectors:
Li: 0.0742 0.0742 0.2035
Li: 0.4213 0.4213 0.2889
Li: 0.5787 0.5787 0.7111
Li: 0.9258 0.9258 0.7965
Ni: 0.0000 0.5000 0.0000
Ni: 0.0000 0.5000 0.5000
Ni: 0.2405 0.2405 0.7425
Ni: 0.5000 0.0000 0.0000
Ni: 0.5000 0.0000 0.5000
Ni: 0.5000 0.5000 0.0000
Ni: 0.7595 0.7595 0.2575
O: 0.3628 0.3628 0.0934
O: 0.6372 0.6372 0.9066
F: 0.1073 0.6091 0.3707
F: 0.1250 0.1250 0.8666
F: 0.1331 0.6018 0.8658
F: 0.1399 0.1399 0.3919
F: 0.3655 0.3655 0.6222
F: 0.3909 0.8927 0.6293
F: 0.3982 0.8669 0.1342
F: 0.6018 0.1331 0.8658
F: 0.6091 0.1073 0.3707
F: 0.6345 0.6345 0.3778
F: 0.8601 0.8601 0.6081
F: 0.8669 0.3982 0.1342
F: 0.8750 0.8750 0.1334
F: 0.8927 0.3909 0.6293